# BeHgCl4
Theoretical powder diffraction line list, copper Kα. Input: a crystal structure in Alexandria, relaxed with PBE.
Kinematic intensities with the Lorentz-polarization factor, no thermal factor.

Structure:
a b c (Å): 7.0460 7.0460 9.3747
angles (deg): 90.00 90.00 90.00
Space group P4_2/mmc (No. 131)
Symmetry-distinct sites (fractional):
Be (0.0000, 0.5000, 0.0000) (multiplicity 2)
Hg (0.0000, 0.0000, 0.0000) (multiplicity 2)
Cl (0.2207, 0.2899, 0.0000) (multiplicity 8)

Most intense lines, 5 to 70 degrees two-theta, sorted by position:
2theta, d/Å, intensity
12.56, 7.046, 100
17.80, 4.982, 42
18.93, 4.687, 72
22.79, 3.903, 53
26.10, 3.414, 35
34.29, 2.615, 43

# Sm4GaSbS9
Theoretical powder diffraction line list, copper Kα. Input: a crystal structure in Alexandria, relaxed with PBE.
Kinematic intensities with the Lorentz-polarization factor, no thermal factor.

Structure:
a b c (Å): 13.7420 14.0932 14.4310
angles (deg): 90.00 90.00 90.00
Space group Aea2 (No. 41)
Symmetry-distinct sites (fractional):
Sm (0.0999, 0.1733, 0.0000) (multiplicity 8)
Sm (0.1049, 0.1105, 0.5488) (multiplicity 8)
Sm (0.1838, 0.1658, 0.2814) (multiplicity 8)
Sm (0.1870, 0.3911, 0.5088) (multiplicity 8)
Ga (0.0918, 0.3949, 0.7714) (multiplicity 8)
Sb (0.1126, 0.4187, 0.2337) (multiplicity 8)
S (0.0000, 0.0000, 0.3613) (multiplicity 4)
S (0.0000, 0.0000, 0.9956) (multiplicity 4)
S (0.0094, 0.1946, 0.1794) (multiplicity 8)
S (0.0697, 0.2540, 0.4240) (multiplicity 8)
S (0.0814, 0.0920, 0.7445) (multiplicity 8)
S (0.0997, 0.4088, 0.0623) (multiplicity 8)
S (0.1892, 0.3024, 0.8664) (multiplicity 8)
S (0.1993, 0.4861, 0.6850) (multiplicity 8)
S (0.2457, 0.2335, 0.6143) (multiplicity 8)
S (0.2465, 0.0585, 0.9290) (multiplicity 8)

Most intense lines, 5 to 70 degrees two-theta, sorted by position:
2theta, d/Å, intensity
24.68, 3.608, 62
26.29, 3.390, 100
33.05, 2.711, 49
33.80, 2.652, 30
35.62, 2.521, 42
49.84, 1.830, 47

# TlBr2F
Theoretical powder diffraction line list, copper Kα. Input: a crystal structure in Alexandria, relaxed with PBE.
Kinematic intensities with the Lorentz-polarization factor, no thermal factor.

Structure:
a b c (Å): 6.6486 5.9651 13.1934
angles (deg): 90.00 90.00 90.00
Space group Pnna (No. 52)
Symmetry-distinct sites (fractional):
Tl (0.2500, 0.0000, 0.1400) (multiplicity 4)
Br (0.0398, 0.2475, 0.5938) (multiplicity 8)
F (0.1175, 0.2500, 0.2500) (multiplicity 4)

Most intense lines, 5 to 70 degrees two-theta, sorted by position:
2theta, d/Å, intensity
14.92, 5.937, 83
16.31, 5.435, 50
24.16, 3.683, 100
27.03, 3.298, 39
28.57, 3.125, 51
40.64, 2.220, 40

# Li4CO4
Theoretical powder diffraction line list, copper Kα. Input: a crystal structure in Alexandria, relaxed with PBE.
Kinematic intensities with the Lorentz-polarization factor, no thermal factor.

Structure:
a b c (Å): 4.3735 5.7849 7.0260
angles (deg): 90.00 90.00 90.00
Space group I222 (No. 23)
Symmetry-distinct sites (fractional):
Li (0.1312, 0.1907, 0.1573) (multiplicity 8)
C (0.0000, 0.5000, 0.5000) (multiplicity 2)
O (0.1912, 0.3604, 0.3848) (multiplicity 8)

Most intense lines, 5 to 70 degrees two-theta, sorted by position:
2theta, d/Å, intensity
19.88, 4.466, 100
23.97, 3.713, 13
25.53, 3.489, 11
36.29, 2.475, 22
39.49, 2.282, 13
46.22, 1.964, 12

# EuB4Os4
Theoretical powder diffraction line list, copper Kα. Input: a crystal structure in Alexandria, relaxed with PBE.
Kinematic intensities with the Lorentz-polarization factor, no thermal factor.

Structure:
a b c (Å): 7.6088 7.6088 4.0176
angles (deg): 90.00 90.00 90.00
Space group P4_2/n (No. 86, origin choice 2)
Symmetry-distinct sites (fractional):
Eu (0.2500, 0.2500, 0.2500) (multiplicity 2)
B (0.0319, 0.9141, 0.1377) (multiplicity 8)
Os (0.1049, 0.6414, 0.1361) (multiplicity 8)

Most intense lines, 5 to 70 degrees two-theta, sorted by position:
2theta, d/Å, intensity
16.48, 5.380, 32
34.54, 2.597, 100
37.37, 2.406, 62
40.35, 2.235, 34
46.77, 1.942, 29
48.74, 1.868, 25

# Mg8In2Pd
Theoretical powder diffraction line list, copper Kα. Input: a crystal structure in Alexandria, relaxed with PBE.
Kinematic intensities with the Lorentz-polarization factor, no thermal factor.

Structure:
a b c (Å): 23.4876 4.5813 4.5810
angles (deg): 90.00 101.19 90.00
Space group C2/m (No. 12)
Symmetry-distinct sites (fractional):
Mg (0.0637, 0.0000, 0.0645) (multiplicity 4)
Mg (0.0637, 0.5000, 0.5649) (multiplicity 4)
Mg (0.1542, 0.0000, 0.6538) (multiplicity 4)
Mg (0.2500, 0.0000, 0.2498) (multiplicity 4)
In (0.1597, 0.5000, 0.1590) (multiplicity 4)
Pd (0.0000, 0.0000, 0.5000) (multiplicity 2)

Most intense lines, 5 to 70 degrees two-theta, sorted by position:
2theta, d/Å, intensity
22.60, 3.934, 100
27.53, 3.240, 22
36.28, 2.476, 90
39.33, 2.291, 42
45.84, 1.980, 30
69.33, 1.355, 25

# La2PmDy6
Theoretical powder diffraction line list, copper Kα. Input: a crystal structure in Alexandria, relaxed with PBE.
Kinematic intensities with the Lorentz-polarization factor, no thermal factor.

Structure:
a b c (Å): 3.4122 10.1529 17.5037
angles (deg): 90.00 90.00 90.00
Space group Immm (No. 71)
Symmetry-distinct sites (fractional):
La (0.0000, 0.0000, 0.1665) (multiplicity 4)
Pm (0.0000, 0.0000, 0.5000) (multiplicity 2)
Dy (0.0000, 0.1861, 0.3336) (multiplicity 8)
Dy (0.0000, 0.1916, 0.0000) (multiplicity 4)

Most intense lines, 5 to 70 degrees two-theta, sorted by position:
2theta, d/Å, intensity
27.58, 3.234, 47
30.54, 2.927, 100
30.65, 2.917, 56
35.23, 2.548, 98
41.69, 2.166, 31
63.09, 1.474, 39